Computed powder diffractogram of CaVPdO5 for Cu Kα, from a DFT-relaxed cell (GGA+U, Alexandria).

Structure:
a b c (Å): 6.795 9.930 6.972
angles (deg): 90.00 112.75 90.00
Space group C2/c (No. 15)
Inequivalent atoms, fractional coordinates:
Ca: 0.000 0.179 0.250 [4 per cell]
V: 0.000 0.151 0.750 [4 per cell]
Pd: 0.000 0.500 0.000 [4 per cell]
O: 0.000 0.414 0.250 [4 per cell]
O: 0.117 0.250 0.620 [8 per cell]
O: 0.182 0.039 0.927 [8 per cell]

Most intense lines, 5° ≤ 2θ ≤ 70°, most intense first:
| index | Position (°2θ) | d [Å] | Rel. int. |
| --- | --- | --- | --- |
| 1 3 0 | 30.54 | 2.927 | 100.0 |
| 1 1 -2 | 27.34 | 3.262 | 95.5 |
| 2 0 0 | 28.49 | 3.133 | 69.0 |
| 0 2 2 | 33.20 | 2.698 | 58.0 |
| 1 1 0 | 16.73 | 5.299 | 45.4 |
| 3 3 0 | 51.75 | 1.766 | 29.2 |
| 0 4 2 | 46.20 | 1.965 | 28.1 |
| 3 1 -2 | 42.49 | 2.128 | 26.6 |
| 0 2 0 | 17.87 | 4.965 | 25.7 |
| 2 4 -2 | 48.52 | 1.876 | 24.2 |